Structure and computed XRD peak list of Li4Ti2Mn3Fe3O16 (DFT lattice parameters and positions (GGA+U); Cu Ka).

The 10 most intense peaks (2θ = 15–90°), low angle first:
18.75°, d = 4.732 Å, I = 100; 19.81°, d = 4.482 Å, I = 46; 19.95°, d = 4.451 Å, I = 60; 36.17°, d = 2.484 Å, I = 30; 36.34°, d = 2.472 Å, I = 26; 36.65°, d = 2.452 Å, I = 26; 36.73°, d = 2.447 Å, I = 23; 45.75°, d = 1.983 Å, I = 31; 46.21°, d = 1.964 Å, I = 27; 60.84°, d = 1.522 Å, I = 21

Crystal structure
abc: 5.8366 5.8616 9.4664
angles: 89.10 89.92 60.40
Space group P1 (No. 1)
Symmetry-distinct sites (fractional):
Li 0.0000 0.0000 0.0000 x1
Li 0.0036 0.9862 0.4956 x1
Li 0.3429 0.3077 0.5923 x1
Li 0.6667 0.6523 0.1016 x1
Ti 0.3360 0.3318 0.0012 x1
Ti 0.6718 0.6482 0.4942 x1
Mn 0.1739 0.1579 0.2762 x1
Mn 0.3438 0.8170 0.7790 x1
Mn 0.8366 0.3331 0.7762 x1
Fe 0.1751 0.6441 0.2795 x1
Fe 0.6635 0.1555 0.2786 x1
Fe 0.8295 0.8254 0.7762 x1
O 0.0043 0.9884 0.1874 x1
O 0.0075 0.0007 0.6852 x1
O 0.0411 0.4659 0.1580 x1
O 0.1502 0.1879 0.9029 x1
O 0.1715 0.6643 0.9019 x1
O 0.3373 0.3131 0.3824 x1
O 0.3382 0.8196 0.3941 x1
O 0.4775 0.0281 0.1550 x1
O 0.4816 0.4673 0.1557 x1
O 0.5200 0.9407 0.6465 x1
O 0.5524 0.4744 0.6439 x1
O 0.6670 0.1656 0.8957 x1
O 0.6699 0.6463 0.8858 x1
O 0.8414 0.8143 0.3974 x1
O 0.8461 0.3154 0.3913 x1
O 0.9720 0.5000 0.6534 x1